No. 1
The following is a theoretical X-ray diffraction stick pattern of NdS2. It was derived from a cell relaxed with GGA-PBE, using Cu Kα.
Peak positions follow from Bragg's law for the DFT cell and can differ from measured ones.

Most intense lines, 2θ from 10° to 90°, in order of rising 2θ:
| 2θ (°) | Rel. int. | (hkl) |
| --- | --- | --- |
| 21.82 | 28 | 2 0 0 |
| 24.59 | 100 | 1 0 -2 |
| 31.30 | 44 | 0 1 2 |
| 32.99 | 14 | 3 0 0 |
| 33.23 | 18 | 1 1 2 |
| 38.48 | 62 | 2 1 -2 |
| 40.01 | 44 | 3 0 2 |
| 44.77 | 11 | 0 2 0 |
| 44.95 | 16 | 0 0 4 |
| 61.62 | 18 | 3 1 -4 |

Structural model:
```
NdS2
1.0
8.1456 0.0000 0.0000
0.0000 4.0486 0.0000
-0.0184 0.0000 8.0674
Nd S
4 8
Direct
0.2243 0.2112 0.3712
0.2243 0.2888 0.8712
0.7757 0.7112 0.1288
0.7757 0.7888 0.6288
0.1329 0.7392 0.1257
0.1329 0.7608 0.6256
0.4973 0.6560 0.3919
0.4973 0.8440 0.8919
0.5027 0.1560 0.1081
0.5027 0.3440 0.6081
0.8671 0.2392 0.3744
0.8671 0.2608 0.8744
```

***

No. 2
The following is a theoretical X-ray diffraction stick pattern of TbTm2Pb5. It was derived from a cell relaxed with GGA-PBE, using Cu Kα.
Peak positions follow from Bragg's law for the DFT cell and can differ from measured ones.

Most intense lines, 2θ from 10° to 90°, in order of rising 2θ:
| 2θ (°) | Rel. int. | (hkl) |
| --- | --- | --- |
| 31.77 | 58 | 2 2 0 |
| 33.64 | 100 | 2 0 2 |
| 45.55 | 22 | 4 0 0 |
| 50.97 | 8 | 0 0 4 |
| 57.80 | 44 | 4 2 2 |
| 61.32 | 18 | 2 2 4 |
| 70.73 | 12 | 4 0 4 |
| 75.47 | 10 | 6 2 0 |
| 76.52 | 10 | 6 0 2 |
| 84.72 | 8 | 2 0 6 |

Structural model:
```
TbTm2Pb5
1.0
7.9663 0.0000 0.0000
0.0000 7.9663 0.0000
0.0000 0.0000 7.1668
Tb Tm Pb
2 4 10
Direct
0.0000 0.0000 0.0000
0.5000 0.5000 0.5000
0.0000 0.5000 0.0000
0.0000 0.5000 0.5000
0.5000 0.0000 0.0000
0.5000 0.0000 0.5000
0.0000 0.0000 0.5000
0.2500 0.2500 0.2500
0.2500 0.2500 0.7500
0.2500 0.7500 0.2500
0.2500 0.7500 0.7500
0.5000 0.5000 0.0000
0.7500 0.2500 0.2500
0.7500 0.2500 0.7500
0.7500 0.7500 0.2500
0.7500 0.7500 0.7500
```